Record 1
Calculated powder X-ray diffraction pattern
Compound: LiV2PO7
Radiation: copper Kα
Structure: a cell relaxed with PBE+U

Peak list (12 most intense, 2θ = 10–90°, by angle)
d 5.225, 2θ = 17.0°, intensity 29.7, hkl 0 0 1; d 4.835, 2θ = 18.3°, intensity 15.8, hkl 0 2 0; d 4.597, 2θ = 19.3°, intensity 11.2, hkl 0 1 1; d 4.090, 2θ = 21.7°, intensity 15.2, hkl 1 0 -1; d 3.767, 2θ = 23.6°, intensity 11.2, hkl 1 1 -1; d 3.549, 2θ = 25.1°, intensity 35.4, hkl 0 2 1; d 3.123, 2θ = 28.6°, intensity 100.0, hkl 1 2 -1; d 3.096, 2θ = 28.8°, intensity 73.5, hkl 1 1 1; d 2.708, 2θ = 33.1°, intensity 18.9, hkl 1 3 0; d 2.081, 2θ = 43.5°, intensity 18.6, hkl 1 4 -1; d 1.777, 2θ = 51.4°, intensity 11.7, hkl 1 3 2; d 1.524, 2θ = 60.8°, intensity 10.7, hkl 2 5 -1

Crystal structure
```
data_LiV2PO7
_symmetry_space_group_name_H-M 'P 1 21 1'
_symmetry_Int_Tables_number 4
_cell_length_a 5.1218
_cell_length_b 9.6702
_cell_length_c 5.3575
_cell_angle_alpha 90.00
_cell_angle_beta 102.76
_cell_angle_gamma 90.00
loop_
_symmetry_equiv_pos_as_xyz
'x,y,z'
'-x,y+1/2,-z'
loop_
_atom_site_label
_atom_site_type_symbol
_atom_site_fract_x
_atom_site_fract_y
_atom_site_fract_z
Li1 Li 0.0515 0.0000 0.1309
V1 V 0.1335 0.8065 0.6404
V2 V 0.3552 0.4968 0.4664
P1 P 0.3863 0.2365 0.8790
O1 O 0.0904 0.4232 0.2221
O2 O 0.1608 0.6235 0.6368
O3 O 0.2028 0.3381 0.6768
O4 O 0.2219 0.1555 0.0270
O5 O 0.3158 0.9208 0.4504
O6 O 0.4088 0.8347 0.9494
O7 O 0.4549 0.6453 0.2742
```



Record 2
Calculated powder X-ray diffraction pattern
Compound: Li2VP2O8
Radiation: copper Kα
Structure: a cell relaxed with PBE+U

Peak list (12 most intense, 2θ = 10–90°, by angle)
d 5.437, 2θ = 16.3°, intensity 100.0, hkl 0 1 1; d 4.100, 2θ = 21.7°, intensity 37.4, hkl 1 0 -2; d 3.809, 2θ = 23.4°, intensity 67.6, hkl 1 1 0; d 3.625, 2θ = 24.6°, intensity 56.0, hkl 1 1 -2; d 3.459, 2θ = 25.8°, intensity 17.7, hkl 0 2 1; d 3.418, 2θ = 26.1°, intensity 37.4, hkl 0 1 2; d 2.903, 2θ = 30.8°, intensity 31.9, hkl 1 2 0; d 2.819, 2θ = 31.7°, intensity 14.8, hkl 1 2 -2; d 2.718, 2θ = 33.0°, intensity 15.9, hkl 0 2 2; d 2.543, 2θ = 35.3°, intensity 17.1, hkl 2 0 -2; d 2.126, 2θ = 42.5°, intensity 20.1, hkl 1 1 -4; d 1.812, 2θ = 50.3°, intensity 22.2, hkl 0 3 3

Crystal structure
```
data_Li2VP2O8
_symmetry_space_group_name_H-M 'P 1 21/c 1'
_symmetry_Int_Tables_number 14
_cell_length_a 5.0978
_cell_length_b 7.7657
_cell_length_c 8.8792
_cell_angle_alpha 90.00
_cell_angle_beta 120.96
_cell_angle_gamma 90.00
loop_
_symmetry_equiv_pos_as_xyz
'x,y,z'
'-x,-y,-z'
'-x,y+1/2,-z+1/2'
'x,-y+1/2,z+1/2'
loop_
_atom_site_label
_atom_site_type_symbol
_atom_site_fract_x
_atom_site_fract_y
_atom_site_fract_z
Li1 Li 0.0182 0.1314 0.4086
V1 V 0.0000 0.0000 0.0000
P1 P 0.3395 0.1881 0.7990
O1 O 0.2103 0.1252 0.2379
O2 O 0.2204 0.0638 0.6493
O3 O 0.2478 0.1419 0.9381
O4 O 0.2988 0.6848 0.5965
```



Which formula does entry 2 have?
Li2VP2O8